The following is a computed XRD peak list of BaSi2. It was derived from DFT lattice parameters and positions (GGA-PBE), using Cu Kα X-rays.
Kinematic intensities with the Lorentz-polarization factor, no thermal factor.

Peak list (8 most intense, 2θ = 10–90°, by intensity)
d_spacing	I_rel
3.438	100
4.266	71
2.530	69
2.719	53
4.443	46
1.753	45
2.431	38
2.133	26

Atomic structure:
Unit cell a=5.6180 b=5.6180 c=5.6180 alpha=128.71 beta=128.71 gamma=75.47
Sites, in units of the cell vectors:
1 Ba 0.0000 0.0000 0.0000
2 Si 0.3781 0.3781 0.0000
3 Si 0.6219 0.6219 0.0000

The following is a computed XRD peak list of Ge3N4. It was derived from DFT lattice parameters and positions (GGA-PBE), using Cu Kα X-rays.
Kinematic intensities with the Lorentz-polarization factor, no thermal factor.

Peak list (8 most intense, 2θ = 10–90°, by intensity)
d_spacing	I_rel
2.469	100
2.710	96
2.763	90
3.076	83
4.597	71
2.298	66
2.220	52
1.514	38

Atomic structure:
Unit cell a=8.2786 b=8.2786 c=5.9896 alpha=90.00 beta=90.00 gamma=120.00
Sites, in units of the cell vectors:
1 Ge 0.0818 0.5100 0.0000
2 Ge 0.0849 0.8316 0.2941
3 Ge 0.1684 0.2532 0.2941
4 Ge 0.2532 0.1684 0.7941
5 Ge 0.4282 0.9182 0.0000
6 Ge 0.4900 0.5718 0.0000
7 Ge 0.5100 0.0818 0.5000
8 Ge 0.5718 0.4900 0.5000
9 Ge 0.7468 0.9151 0.2941
10 Ge 0.8316 0.0849 0.7941
11 Ge 0.9151 0.7468 0.7941
12 Ge 0.9182 0.4282 0.5000
13 N 0.0000 0.0000 0.2901
14 N 0.0000 0.0000 0.7901
15 N 0.0008 0.6808 0.0418
16 N 0.0414 0.3842 0.2703
17 N 0.3192 0.3200 0.0418
18 N 0.3200 0.3192 0.5418
19 N 0.3333 0.6667 0.9452
20 N 0.3429 0.9586 0.2703
21 N 0.3842 0.0414 0.7703
22 N 0.6158 0.6571 0.2703
23 N 0.6571 0.6158 0.7703
24 N 0.6667 0.3333 0.4452
25 N 0.6800 0.9992 0.0418
26 N 0.6808 0.0008 0.5418
27 N 0.9586 0.3429 0.7703
28 N 0.9992 0.6800 0.5418

The following is a computed XRD peak list of KTeO4. It was derived from DFT lattice parameters and positions (GGA-PBE), using Cu Kα X-rays.
Kinematic intensities with the Lorentz-polarization factor, no thermal factor.

Peak list (8 most intense, 2θ = 10–90°, by intensity)
d_spacing	I_rel
5.002	100
3.145	78
3.317	44
3.349	35
4.443	32
4.669	30
2.826	26
2.282	25

Atomic structure:
Unit cell a=7.7582 b=6.6348 c=19.2761 alpha=90.00 beta=102.17 gamma=90.00
Sites, in units of the cell vectors:
1 K 0.0042 0.0424 0.3940
2 K 0.0042 0.4576 0.8940
3 K 0.3365 0.1057 0.2386
4 K 0.3365 0.3943 0.7386
5 K 0.6635 0.6057 0.2614
6 K 0.6635 0.8943 0.7614
7 K 0.9958 0.5424 0.1060
8 K 0.9958 0.9576 0.6060
9 Te 0.1837 0.0129 0.0532
10 Te 0.1837 0.4871 0.5532
11 Te 0.4678 0.0180 0.5788
12 Te 0.4678 0.4820 0.0788
13 Te 0.5322 0.5180 0.9212
14 Te 0.5322 0.9820 0.4212
15 Te 0.8163 0.5129 0.4468
16 Te 0.8163 0.9871 0.9468
17 O 0.0071 0.6979 0.4952
18 O 0.0071 0.8021 0.9952
19 O 0.0991 0.5273 0.6349
20 O 0.0991 0.9727 0.1349
21 O 0.1904 0.5363 0.2841
22 O 0.1904 0.9637 0.7841
23 O 0.2611 0.0018 0.8462
24 O 0.2611 0.4982 0.3462
25 O 0.3127 0.2038 0.6118
26 O 0.3127 0.2962 0.1118
27 O 0.3195 0.5706 0.8612
28 O 0.3195 0.9294 0.3612
29 O 0.3658 0.7052 0.1127
30 O 0.3658 0.7948 0.6127
31 O 0.4224 0.1655 0.4884
32 O 0.4224 0.3345 0.9884
33 O 0.5776 0.6655 0.0116
34 O 0.5776 0.8345 0.5116
35 O 0.6342 0.2052 0.3873
36 O 0.6342 0.2948 0.8873
37 O 0.6805 0.0706 0.6388
38 O 0.6805 0.4294 0.1388
39 O 0.6873 0.7038 0.8882
40 O 0.6873 0.7962 0.3882
41 O 0.7389 0.5018 0.6538
42 O 0.7389 0.9982 0.1538
43 O 0.8096 0.0363 0.2159
44 O 0.8096 0.4637 0.7159
45 O 0.9009 0.0273 0.8651
46 O 0.9009 0.4727 0.3651
47 O 0.9929 0.1979 0.0048
48 O 0.9929 0.3021 0.5048

The following is a computed XRD peak list of BaCu5AgP2. It was derived from DFT lattice parameters and positions (GGA-PBE), using Cu Kα X-rays.
Kinematic intensities with the Lorentz-polarization factor, no thermal factor.

Peak list (8 most intense, 2θ = 10–90°, by intensity)
d_spacing	I_rel
2.458	100
2.056	53
3.067	45
2.111	34
1.251	20
1.805	19
1.534	17
1.708	17

Atomic structure:
Unit cell a=4.1118 b=4.1118 c=9.2069 alpha=90.00 beta=90.00 gamma=90.00
Sites, in units of the cell vectors:
1 Ba 0.0000 0.0000 0.0000
2 Cu 0.0000 0.5000 0.3116
3 Cu 0.0000 0.5000 0.6884
4 Cu 0.5000 0.0000 0.3116
5 Cu 0.5000 0.0000 0.6884
6 Cu 0.5000 0.5000 0.5000
7 Ag 0.0000 0.0000 0.5000
8 P 0.5000 0.5000 0.2016
9 P 0.5000 0.5000 0.7984

The following is a computed XRD peak list of VOs. It was derived from DFT lattice parameters and positions (GGA-PBE), using Cu Kα X-rays.
Kinematic intensities with the Lorentz-polarization factor, no thermal factor.

Peak list (8 most intense, 2θ = 10–90°, by intensity)
d_spacing	I_rel
2.086	100
2.393	45
4.258	42
1.591	26
2.129	21
1.159	18
1.221	18
1.382	16

Atomic structure:
Unit cell a=2.7634 b=2.7634 c=4.2580 alpha=90.00 beta=90.00 gamma=120.00
Sites, in units of the cell vectors:
1 V 0.0000 0.0000 0.0000
2 Os 0.3333 0.6667 0.5000

The following is a computed XRD peak list of CaCO3. It was derived from DFT lattice parameters and positions (GGA-PBE), using Cu Kα X-rays.
Kinematic intensities with the Lorentz-polarization factor, no thermal factor.

Peak list (8 most intense, 2θ = 10–90°, by intensity)
d_spacing	I_rel
3.093	100
3.072	52
2.114	23
1.948	23
2.520	15
1.966	14
1.917	13
1.896	12

Atomic structure:
Unit cell a=5.0408 b=5.0408 c=8.7446 alpha=90.65 beta=90.65 gamma=59.60
Sites, in units of the cell vectors:
1 Ca 0.0000 0.0000 0.0000
2 Ca 0.3399 0.3300 0.6655
3 Ca 0.6700 0.6601 0.3345
4 C 0.0081 0.9919 0.5000
5 C 0.3274 0.3326 0.1692
6 C 0.6674 0.6726 0.8308
7 O 0.0074 0.2499 0.4999
8 O 0.0681 0.5923 0.1659
9 O 0.2676 0.7324 0.5000
10 O 0.3266 0.0754 0.1737
11 O 0.4077 0.9319 0.8341
12 O 0.5860 0.3309 0.1675
13 O 0.6691 0.4140 0.8325
14 O 0.7501 0.9926 0.5001
15 O 0.9246 0.6734 0.8263

The following is a computed XRD peak list of Hg4P2O7. It was derived from DFT lattice parameters and positions (GGA-PBE), using Cu Kα X-rays.
Kinematic intensities with the Lorentz-polarization factor, no thermal factor.

Peak list (8 most intense, 2θ = 10–90°, by intensity)
d_spacing	I_rel
3.116	100
5.038	67
3.136	53
2.954	44
3.380	41
6.216	40
3.914	35
2.651	32

Atomic structure:
Unit cell a=9.4869 b=5.0384 c=12.4337 alpha=90.00 beta=129.77 gamma=90.00
Sites, in units of the cell vectors:
1 Hg 0.0563 0.0601 0.3771
2 Hg 0.0563 0.9399 0.8771
3 Hg 0.4246 0.1762 0.9021
4 Hg 0.4246 0.8238 0.4021
5 Hg 0.5754 0.1762 0.5979
6 Hg 0.5754 0.8238 0.0979
7 Hg 0.9437 0.0601 0.1229
8 Hg 0.9437 0.9399 0.6229
9 P 0.2949 0.4021 0.1441
10 P 0.2949 0.5979 0.6441
11 P 0.7051 0.4021 0.3559
12 P 0.7051 0.5979 0.8559
13 O 0.1663 0.1588 0.0783
14 O 0.1663 0.8412 0.5783
15 O 0.2584 0.4551 0.7339
16 O 0.2584 0.5449 0.2339
17 O 0.2903 0.4246 0.5415
18 O 0.2903 0.5754 0.0415
19 O 0.5000 0.2677 0.2500
20 O 0.5000 0.7323 0.7500
21 O 0.7097 0.4246 0.9585
22 O 0.7097 0.5754 0.4585
23 O 0.7416 0.4551 0.7661
24 O 0.7416 0.5449 0.2661
25 O 0.8337 0.1588 0.4217
26 O 0.8337 0.8412 0.9217